Record 1
Calculated powder X-ray diffraction pattern of KCd4Mo for Cu Kα, 1.54184 Å, from a DFT-relaxed cell (GGA-PBE, Alexandria).
Kinematic intensities with the Lorentz-polarization factor, no thermal factor.

Crystal structure
```
data_KCd4Mo
_space_group_name_H-M_alt 'F -4 3 m'
_space_group_IT_number 216
_space_group_name_Hall 'F -4 2 3'
_cell_length_a 8.381
_cell_length_b 8.381
_cell_length_c 8.381
_cell_angle_alpha 90.00
_cell_angle_beta 90.00
_cell_angle_gamma 90.00
loop_
_atom_site_label
_atom_site_fract_x
_atom_site_fract_y
_atom_site_fract_z
K1 0.000 0.000 0.000
Cd1 0.124 0.124 0.376
Mo1 0.250 0.250 0.750
```

Principal peaks in the range 2θ from 10° to 90°, in order of rising 2θ:
4.839 Å, rel. 30, hkl 1 1 1
2.963 Å, rel. 14, hkl 2 2 0
2.527 Å, rel. 100, hkl 3 1 1
2.419 Å, rel. 58, hkl 2 2 2
2.095 Å, rel. 14, hkl 4 0 0
1.613 Å, rel. 32, hkl 3 3 3
1.481 Å, rel. 29, hkl 4 4 0
1.278 Å, rel. 11, hkl 5 3 3
1.263 Å, rel. 20, hkl 6 2 2
1.091 Å, rel. 20, hkl 7 3 1

Record 2
Calculated powder X-ray diffraction pattern of Pm5BiIr2 for Cu Kα, 1.54184 Å, from a DFT-relaxed cell (GGA-PBE, Alexandria).
Kinematic intensities with the Lorentz-polarization factor, no thermal factor.

Crystal structure
```
data_Pm5BiIr2
_space_group_name_H-M_alt 'I 4/m c m'
_space_group_IT_number 140
_space_group_name_Hall '-I 4 2c'
_cell_length_a 8.049
_cell_length_b 8.049
_cell_length_c 13.848
_cell_angle_alpha 90.00
_cell_angle_beta 90.00
_cell_angle_gamma 90.00
loop_
_atom_site_label
_atom_site_fract_x
_atom_site_fract_y
_atom_site_fract_z
Pm1 0.000 0.000 0.000
Pm2 0.157 0.343 0.132
Bi1 0.000 0.000 0.250
Ir1 0.140 0.360 0.500
```

Principal peaks in the range 2θ from 10° to 90°, in order of rising 2θ:
6.924 Å, rel. 16, hkl 0 0 2
4.397 Å, rel. 12, hkl 1 1 2
2.958 Å, rel. 17, hkl 1 1 4
2.840 Å, rel. 100, hkl 2 1 3
2.625 Å, rel. 23, hkl 2 0 4
2.545 Å, rel. 62, hkl 3 1 0
2.196 Å, rel. 33, hkl 2 1 5
1.799 Å, rel. 18, hkl 4 2 0
1.431 Å, rel. 20, hkl 3 1 8
1.422 Å, rel. 22, hkl 4 4 0

Record 3
Calculated powder X-ray diffraction pattern of SiMoAu2 for Cu Kα, 1.54184 Å, from a DFT-relaxed cell (GGA-PBE, Alexandria).
Kinematic intensities with the Lorentz-polarization factor, no thermal factor.

Crystal structure
```
data_SiMoAu2
_space_group_name_H-M_alt 'I m m m'
_space_group_IT_number 71
_space_group_name_Hall '-I 2 2'
_cell_length_a 2.905
_cell_length_b 4.529
_cell_length_c 9.944
_cell_angle_alpha 90.00
_cell_angle_beta 90.00
_cell_angle_gamma 90.00
loop_
_atom_site_label
_atom_site_fract_x
_atom_site_fract_y
_atom_site_fract_z
Si1 0.000 0.000 0.000
Mo1 0.000 0.000 0.500
Au1 0.000 0.500 0.283
```

Principal peaks in the range 2θ from 10° to 90°, in order of rising 2θ:
4.972 Å, rel. 43, hkl 0 0 2
2.675 Å, rel. 34, hkl 0 1 3
2.486 Å, rel. 23, hkl 0 0 4
2.445 Å, rel. 21, hkl 1 1 0
2.264 Å, rel. 31, hkl 0 2 0
2.194 Å, rel. 100, hkl 1 1 2
1.674 Å, rel. 14, hkl 0 2 4
1.641 Å, rel. 15, hkl 1 0 5
1.329 Å, rel. 15, hkl 1 2 5
1.293 Å, rel. 19, hkl 1 3 2

Record 4
Calculated powder X-ray diffraction pattern of La8Ir3PdI3 for Cu Kα, 1.54184 Å, from a DFT-relaxed cell (GGA-PBE, Alexandria).
Kinematic intensities with the Lorentz-polarization factor, no thermal factor.

Crystal structure
```
data_La8Ir3PdI3
_space_group_name_H-M_alt 'P -1'
_space_group_IT_number 2
_space_group_name_Hall '-P 1'
_cell_length_a 8.526
_cell_length_b 8.556
_cell_length_c 9.534
_cell_angle_alpha 63.37
_cell_angle_beta 63.45
_cell_angle_gamma 60.12
loop_
_atom_site_label
_atom_site_fract_x
_atom_site_fract_y
_atom_site_fract_z
La1 0.219 0.234 0.312
La2 0.229 0.729 0.312
La3 0.266 0.281 0.688
La4 0.266 0.765 0.688
Ir1 0.000 0.000 0.500
Ir2 0.000 0.500 0.500
Ir3 0.500 0.500 0.500
Pd1 0.500 0.000 0.500
I1 0.000 0.000 0.000
I2 0.500 0.000 0.000
I3 0.500 0.500 0.000
```

Principal peaks in the range 2θ from 10° to 90°, in order of rising 2θ:
8.161 Å, rel. 37, hkl 0 0 1
3.167 Å, rel. 100, hkl 2 0 2
2.540 Å, rel. 13, hkl 2 2 -1
2.358 Å, rel. 29, hkl 2 2 4
2.139 Å, rel. 25, hkl 2 4 2
2.132 Å, rel. 13, hkl 4 2 2
2.041 Å, rel. 7, hkl 0 0 4
1.907 Å, rel. 11, hkl 2 0 -3
1.769 Å, rel. 12, hkl 4 4 4
1.361 Å, rel. 7, hkl 6 2 4

Record 5
Calculated powder X-ray diffraction pattern of SmMgS for Cu Kα, 1.54184 Å, from a DFT-relaxed cell (GGA-PBE, Alexandria).
Kinematic intensities with the Lorentz-polarization factor, no thermal factor.

Crystal structure
```
data_SmMgS
_space_group_name_H-M_alt 'R -3 m'
_space_group_IT_number 166
_space_group_name_Hall '-R 3 2"'
_cell_length_a 4.8677
_cell_length_b 4.8677
_cell_length_c 22.8021
_cell_angle_alpha 90.00
_cell_angle_beta 90.00
_cell_angle_gamma 120.00
loop_
_atom_site_label
_atom_site_fract_x
_atom_site_fract_y
_atom_site_fract_z
Sm1 0.0000 0.0000 0.0925
Mg1 0.0000 0.0000 0.3282
S1 0.0000 0.0000 0.2169
```

Principal peaks in the range 2θ from 10° to 90°, in order of rising 2θ:
4.145 Å, rel. 100, hkl 1 0 1
3.800 Å, rel. 30, hkl 0 0 6
3.389 Å, rel. 34, hkl 1 0 4
3.096 Å, rel. 59, hkl 0 1 5
2.578 Å, rel. 34, hkl 1 0 7
2.434 Å, rel. 75, hkl 1 1 0
2.099 Å, rel. 16, hkl 0 2 1
2.050 Å, rel. 33, hkl 1 1 6
2.006 Å, rel. 20, hkl 1 0 10
1.755 Å, rel. 21, hkl 1 1 9

Record 6
Calculated powder X-ray diffraction pattern of La3Pr2Dy for Cu Kα, 1.54184 Å, from a DFT-relaxed cell (GGA-PBE, Alexandria).
Kinematic intensities with the Lorentz-polarization factor, no thermal factor.

Crystal structure
```
data_La3Pr2Dy
_space_group_name_H-M_alt 'P n n m'
_space_group_IT_number 58
_space_group_name_Hall '-P 2 2n'
_cell_length_a 6.933
_cell_length_b 17.979
_cell_length_c 3.492
_cell_angle_alpha 90.00
_cell_angle_beta 90.00
_cell_angle_gamma 90.00
loop_
_atom_site_label
_atom_site_fract_x
_atom_site_fract_y
_atom_site_fract_z
La1 0.000 0.000 0.000
La2 0.242 0.322 0.000
Pr1 0.234 0.153 0.500
Dy1 0.000 0.500 0.000
```

Principal peaks in the range 2θ from 10° to 90°, in order of rising 2θ:
3.428 Å, rel. 34, hkl 0 1 1
3.234 Å, rel. 100, hkl 2 2 0
3.017 Å, rel. 72, hkl 0 3 1
2.997 Å, rel. 82, hkl 0 6 0
2.947 Å, rel. 44, hkl 1 2 1
2.746 Å, rel. 80, hkl 2 4 0
2.563 Å, rel. 34, hkl 1 4 1
2.276 Å, rel. 76, hkl 2 3 1
1.885 Å, rel. 28, hkl 2 8 0
1.734 Å, rel. 26, hkl 4 0 0